Computed powder diffractogram of Tb2Y2Mg3 for Cu Ka, from a crystal structure in Alexandria, relaxed with PBE.
Neutral-atom scattering factors, no anomalous dispersion.

Cell and atoms:
```
data_Tb2Y2Mg3
_chemical_formula_sum 'Tb4 Y4 Mg6'
_cell_length_a 3.766
_cell_length_b 3.766
_cell_length_c 27.813
_cell_angle_alpha 90.00
_cell_angle_beta 90.00
_cell_angle_gamma 90.00
_symmetry_space_group_name_H-M 'I 4/m m m'
_symmetry_Int_Tables_number 139
_symmetry_space_group_name_Hall '-I 4 2'
loop_
_atom_site_label
_atom_site_type_symbol
_atom_site_fract_x
_atom_site_fract_y
_atom_site_fract_z
Tb1 Tb 0.000 0.000 0.208
Y1 Y 0.000 0.000 0.068
Mg1 Mg 0.000 0.000 0.363
Mg2 Mg 0.000 0.000 0.500
```

Main lines, in order of falling intensity (2θ = 5–70°):
- 32.77°, I 100
- 6.36°, I 53
- 33.66°, I 49
- 59.63°, I 35
- 23.84°, I 26
- 25.57°, I 26
- 28.63°, I 19
- 48.34°, I 18
- 57.91°, I 16
- 42.78°, I 12

Computed powder diffractogram of TbHo3Se4 for Cu Ka, from a crystal structure in Alexandria, relaxed with PBE.
Neutral-atom scattering factors, no anomalous dispersion.

Cell and atoms:
```
data_TbHo3Se4
_chemical_formula_sum 'Tb2 Ho6 Se8'
_cell_length_a 7.075
_cell_length_b 8.043
_cell_length_c 7.068
_cell_angle_alpha 90.00
_cell_angle_beta 109.22
_cell_angle_gamma 90.00
_symmetry_space_group_name_H-M 'P 1 2/c 1'
_symmetry_Int_Tables_number 13
loop_
_symmetry_equiv_pos_as_xyz
'x,y,z'
'-x,-y,-z'
'-x,y,-z+1/2'
'x,-y,z+1/2'
loop_
_atom_site_label
_atom_site_type_symbol
_atom_site_fract_x
_atom_site_fract_y
_atom_site_fract_z
Tb1 Tb 0.000 0.124 0.250
Ho1 Ho 0.000 0.374 0.750
Ho2 Ho 0.500 0.124 0.750
Ho3 Ho 0.500 0.374 0.250
Se1 Se 0.251 0.377 0.501
Se2 Se 0.253 0.126 0.000
```

Main lines, in order of falling intensity (2θ = 5–70°):
- 31.17°, I 100
- 44.56°, I 75
- 31.03°, I 51
- 55.01°, I 20
- 55.74°, I 19
- 44.23°, I 19
- 45.09°, I 18
- 26.70°, I 17
- 27.03°, I 16
- 65.01°, I 12

Computed powder diffractogram of Nd5Hg2Rh2 for Cu Ka, from a crystal structure in Alexandria, relaxed with PBE.
Neutral-atom scattering factors, no anomalous dispersion.

Cell and atoms:
```
data_Nd5Hg2Rh2
_chemical_formula_sum 'Nd20 Hg8 Rh8'
_cell_length_a 16.173
_cell_length_b 7.639
_cell_length_c 8.045
_cell_angle_alpha 90.00
_cell_angle_beta 90.00
_cell_angle_gamma 90.00
_symmetry_space_group_name_H-M 'C m c e'
_symmetry_Int_Tables_number 64
_symmetry_space_group_name_Hall '-C 2ac 2'
loop_
_atom_site_label
_atom_site_type_symbol
_atom_site_fract_x
_atom_site_fract_y
_atom_site_fract_z
Nd1 Nd 0.000 0.000 0.000
Nd2 Nd 0.122 0.169 0.327
Hg1 Hg 0.214 0.000 0.000
Rh1 Rh 0.000 0.131 0.630
```

Main lines, in order of falling intensity (2θ = 5–70°):
- 32.28°, I 100
- 34.17°, I 69
- 31.37°, I 55
- 32.04°, I 54
- 35.92°, I 46
- 30.09°, I 46
- 37.46°, I 40
- 37.57°, I 30
- 57.46°, I 28
- 25.81°, I 25

Computed powder diffractogram of Cs3RbI4 for Cu Ka, from a crystal structure in Alexandria, relaxed with PBE.
Neutral-atom scattering factors, no anomalous dispersion.

Cell and atoms:
```
data_Cs3RbI4
_chemical_formula_sum 'Cs6 Rb2 I8'
_cell_length_a 9.490
_cell_length_b 10.943
_cell_length_c 9.499
_cell_angle_alpha 90.00
_cell_angle_beta 109.44
_cell_angle_gamma 90.00
_symmetry_space_group_name_H-M 'P 1 2/c 1'
_symmetry_Int_Tables_number 13
loop_
_symmetry_equiv_pos_as_xyz
'x,y,z'
'-x,-y,-z'
'-x,y,-z+1/2'
'x,-y,z+1/2'
loop_
_atom_site_label
_atom_site_type_symbol
_atom_site_fract_x
_atom_site_fract_y
_atom_site_fract_z
Cs1 Cs 0.000 0.124 0.250
Cs2 Cs 0.000 0.374 0.750
Cs3 Cs 0.500 0.374 0.250
Rb1 Rb 0.500 0.123 0.750
I1 I 0.254 0.369 0.506
I2 I 0.260 0.120 0.999
```

Main lines, in order of falling intensity (2θ = 5–70°):
- 22.96°, I 100
- 32.69°, I 80
- 52.83°, I 33
- 40.32°, I 30
- 58.32°, I 20
- 46.91°, I 14
- 58.40°, I 10
- 68.48°, I 7
- 52.91°, I 7
- 68.61°, I 1

Computed powder diffractogram of Ac2Ag4Te5 for Cu Ka, from a crystal structure in Alexandria, relaxed with PBE.
Neutral-atom scattering factors, no anomalous dispersion.

Cell and atoms:
```
data_Ac2Ag4Te5
_chemical_formula_sum 'Ac6 Ag12 Te15'
_cell_length_a 4.6719
_cell_length_b 4.6719
_cell_length_c 57.6751
_cell_angle_alpha 90.00
_cell_angle_beta 90.00
_cell_angle_gamma 120.00
_symmetry_space_group_name_H-M 'R -3 m'
_symmetry_Int_Tables_number 166
_symmetry_space_group_name_Hall '-R 3 2"'
loop_
_atom_site_label
_atom_site_type_symbol
_atom_site_fract_x
_atom_site_fract_y
_atom_site_fract_z
Ac1 Ac 0.0000 0.0000 0.1317
Ag1 Ag 0.0000 0.0000 0.3119
Ag2 Ag 0.0000 0.0000 0.4133
Te1 Te 0.0000 0.0000 0.2353
Te2 Te 0.0000 0.0000 0.3656
Te3 Te 0.0000 0.0000 0.5000
```

Main lines, in order of falling intensity (2θ = 5–70°):
- 27.85°, I 100
- 38.54°, I 91
- 25.24°, I 49
- 41.02°, I 45
- 48.21°, I 42
- 22.83°, I 30
- 33.29°, I 28
- 57.55°, I 17
- 63.35°, I 16
- 69.73°, I 16

Computed powder diffractogram of Cd3HgPb for Cu Ka, from a crystal structure in Alexandria, relaxed with PBE.
Neutral-atom scattering factors, no anomalous dispersion.

Cell and atoms:
```
data_Cd3HgPb
_chemical_formula_sum 'Cd6 Hg2 Pb2'
_cell_length_a 4.384
_cell_length_b 4.384
_cell_length_c 13.613
_cell_angle_alpha 90.00
_cell_angle_beta 90.00
_cell_angle_gamma 90.00
_symmetry_space_group_name_H-M 'I 4 m m'
_symmetry_Int_Tables_number 107
_symmetry_space_group_name_Hall 'I 4 -2'
loop_
_atom_site_label
_atom_site_type_symbol
_atom_site_fract_x
_atom_site_fract_y
_atom_site_fract_z
Cd1 Cd 0.000 0.000 0.000
Cd2 Cd 0.000 0.500 0.354
Hg1 Hg 0.000 0.000 0.206
Pb1 Pb 0.000 0.000 0.601
```

Main lines, in order of falling intensity (2θ = 5–70°):
- 31.72°, I 100
- 38.94°, I 56
- 28.31°, I 52
- 41.19°, I 50
- 57.97°, I 35
- 50.73°, I 22
- 69.16°, I 21
- 28.80°, I 19
- 39.32°, I 17
- 59.66°, I 17

Computed powder diffractogram of SrAgIr2 for Cu Ka, from a crystal structure in Alexandria, relaxed with PBE.
Neutral-atom scattering factors, no anomalous dispersion.

Cell and atoms:
```
data_SrAgIr2
_chemical_formula_sum 'Sr2 Ag2 Ir4'
_cell_length_a 3.019
_cell_length_b 4.901
_cell_length_c 10.123
_cell_angle_alpha 90.00
_cell_angle_beta 90.00
_cell_angle_gamma 90.00
_symmetry_space_group_name_H-M 'I m m m'
_symmetry_Int_Tables_number 71
_symmetry_space_group_name_Hall '-I 2 2'
loop_
_atom_site_label
_atom_site_type_symbol
_atom_site_fract_x
_atom_site_fract_y
_atom_site_fract_z
Sr1 Sr 0.000 0.000 0.000
Ag1 Ag 0.000 0.000 0.500
Ir1 Ir 0.000 0.500 0.233
```

Main lines, in order of falling intensity (2θ = 5–70°):
- 39.31°, I 100
- 36.68°, I 31
- 35.47°, I 30
- 51.94°, I 20
- 67.80°, I 20
- 66.26°, I 17
- 17.52°, I 16
- 61.42°, I 7
- 34.90°, I 7
- 48.66°, I 4

Computed powder diffractogram of La3Al2CuPd9 for Cu Ka, from a crystal structure in Alexandria, relaxed with PBE.
Neutral-atom scattering factors, no anomalous dispersion.

Cell and atoms:
```
data_La3Al2CuPd9
_chemical_formula_sum 'La3 Al2 Cu1 Pd9'
_cell_length_a 7.3104
_cell_length_b 7.3104
_cell_length_c 6.7656
_cell_angle_alpha 90.00
_cell_angle_beta 90.00
_cell_angle_gamma 120.00
_symmetry_space_group_name_H-M 'P -3 m 1'
_symmetry_Int_Tables_number 164
_symmetry_space_group_name_Hall '-P 3 2"'
loop_
_atom_site_label
_atom_site_type_symbol
_atom_site_fract_x
_atom_site_fract_y
_atom_site_fract_z
La1 La 0.0000 0.0000 0.0000
La2 La 0.3333 0.6667 0.6605
Al1 Al 0.3333 0.6667 0.1660
Cu1 Cu 0.0000 0.0000 0.5000
Pd1 Pd 0.0000 0.5000 0.0000
Pd2 Pd 0.1689 0.3378 0.3327
```

Main lines, in order of falling intensity (2θ = 5–70°):
- 31.20°, I 100
- 38.97°, I 78
- 49.90°, I 38
- 65.77°, I 23
- 62.23°, I 19
- 39.98°, I 17
- 65.06°, I 17
- 60.03°, I 15
- 24.35°, I 5
- 29.95°, I 3